Entry 1:
For Ca2Hf2Ni15, the GGA-PBE geometry in Alexandria gives the theoretical powder diffractogram in this record (copper Kα).
Kinematic intensities with the Lorentz-polarization factor, no thermal factor.

Peak list (12 most intense, 5° ≤ 2θ ≤ 70°, by angle)
- 2θ 13.97, intensity 100
- 2θ 31.02, intensity 22
- 2θ 36.71, intensity 43
- 2θ 37.73, intensity 44
- 2θ 42.64, intensity 66
- 2θ 42.81, intensity 30
- 2θ 43.29, intensity 18
- 2θ 43.55, intensity 31
- 2θ 43.71, intensity 24
- 2θ 45.09, intensity 17
- 2θ 48.12, intensity 87
- 2θ 48.56, intensity 30

Cell and atoms:
abc: 6.438 6.438 6.438
angles: 82.39 82.39 82.39
Sites, in units of the cell vectors:
1 Ca 0.141 0.141 0.141
2 Ca 0.859 0.859 0.859
3 Hf 0.389 0.389 0.389
4 Hf 0.611 0.611 0.611
5 Ni 0.000 0.500 0.500
6 Ni 0.155 0.155 0.655
7 Ni 0.155 0.655 0.155
8 Ni 0.206 0.500 0.794
9 Ni 0.206 0.794 0.500
10 Ni 0.345 0.845 0.845
11 Ni 0.500 0.000 0.500
12 Ni 0.500 0.206 0.794
13 Ni 0.500 0.500 0.000
14 Ni 0.500 0.794 0.206
15 Ni 0.655 0.155 0.155
16 Ni 0.794 0.206 0.500
17 Ni 0.794 0.500 0.206
18 Ni 0.845 0.345 0.845
19 Ni 0.845 0.845 0.345

---

Entry 2:
For PaIr2, the GGA-PBE geometry in Alexandria gives the theoretical powder diffractogram in this record (copper Kα).
Kinematic intensities with the Lorentz-polarization factor, no thermal factor.

Peak list (7 most intense, 5° ≤ 2θ ≤ 70°, by angle)
- 2θ 20.29, intensity 1
- 2θ 33.44, intensity 33
- 2θ 39.43, intensity 100
- 2θ 41.26, intensity 34
- 2θ 48.02, intensity 3
- 2θ 59.78, intensity 13
- 2θ 63.81, intensity 33

Cell and atoms:
abc: 5.359 5.359 5.359
angles: 60.00 60.00 60.00
Sites, in units of the cell vectors:
1 Pa 0.125 0.125 0.125
2 Pa 0.875 0.875 0.875
3 Ir 0.000 0.500 0.500
4 Ir 0.500 0.000 0.500
5 Ir 0.500 0.500 0.000
6 Ir 0.500 0.500 0.500

---

Entry 3:
For Tb3Sb5O12, the GGA-PBE geometry in Alexandria gives the theoretical powder diffractogram in this record (copper Kα).
Kinematic intensities with the Lorentz-polarization factor, no thermal factor.

Peak list (12 most intense, 5° ≤ 2θ ≤ 70°, by angle)
- 2θ 11.46, intensity 16
- 2θ 28.32, intensity 100
- 2θ 30.64, intensity 4
- 2θ 32.81, intensity 35
- 2θ 38.68, intensity 4
- 2θ 42.21, intensity 3
- 2θ 47.09, intensity 43
- 2θ 54.47, intensity 4
- 2θ 55.86, intensity 38
- 2θ 58.58, intensity 9
- 2θ 62.52, intensity 4
- 2θ 68.79, intensity 5

Cell and atoms:
abc: 9.455 9.455 9.455
angles: 109.47 109.47 109.47
Sites, in units of the cell vectors:
1 Tb 0.250 0.500 0.750
2 Tb 0.250 0.750 0.500
3 Tb 0.500 0.250 0.750
4 Tb 0.500 0.750 0.250
5 Tb 0.750 0.250 0.500
6 Tb 0.750 0.500 0.250
7 Sb 0.000 0.000 0.487
8 Sb 0.000 0.283 0.283
9 Sb 0.000 0.487 0.000
10 Sb 0.000 0.717 0.717
11 Sb 0.283 0.000 0.283
12 Sb 0.283 0.283 0.000
13 Sb 0.487 0.000 0.000
14 Sb 0.513 0.513 0.513
15 Sb 0.717 0.000 0.717
16 Sb 0.717 0.717 0.000
17 O 0.000 0.295 0.497
18 O 0.000 0.497 0.295
19 O 0.000 0.522 0.799
20 O 0.000 0.799 0.522
21 O 0.201 0.201 0.723
22 O 0.201 0.723 0.201
23 O 0.202 0.705 0.705
24 O 0.277 0.478 0.478
25 O 0.295 0.000 0.497
26 O 0.295 0.497 0.000
27 O 0.478 0.277 0.478
28 O 0.478 0.478 0.277
29 O 0.497 0.000 0.295
30 O 0.497 0.295 0.000
31 O 0.503 0.503 0.798
32 O 0.503 0.798 0.503
33 O 0.522 0.000 0.799
34 O 0.522 0.799 0.000
35 O 0.705 0.202 0.705
36 O 0.705 0.705 0.202
37 O 0.723 0.201 0.201
38 O 0.798 0.503 0.503
39 O 0.799 0.000 0.522
40 O 0.799 0.522 0.000

---

Entry 4:
For Pm4GaSi, the GGA-PBE geometry in Alexandria gives the theoretical powder diffractogram in this record (copper Kα).
Kinematic intensities with the Lorentz-polarization factor, no thermal factor.

Peak list (12 most intense, 5° ≤ 2θ ≤ 70°, by angle)
- 2θ 24.63, intensity 15
- 2θ 27.60, intensity 100
- 2θ 30.29, intensity 37
- 2θ 35.12, intensity 20
- 2θ 37.33, intensity 25
- 2θ 41.44, intensity 20
- 2θ 47.04, intensity 46
- 2θ 52.18, intensity 19
- 2θ 53.81, intensity 8
- 2θ 58.51, intensity 10
- 2θ 65.87, intensity 9
- 2θ 65.93, intensity 10

Cell and atoms:
abc: 7.233 7.222 7.228
angles: 90.00 90.08 90.00
Sites, in units of the cell vectors:
1 Pm 0.167 0.172 0.326
2 Pm 0.167 0.328 0.826
3 Pm 0.327 0.667 0.335
4 Pm 0.327 0.833 0.835
5 Pm 0.673 0.167 0.165
6 Pm 0.673 0.333 0.665
7 Pm 0.833 0.672 0.174
8 Pm 0.833 0.828 0.674
9 Ga 0.500 0.000 0.500
10 Ga 0.500 0.500 0.000
11 Si 0.000 0.000 0.000
12 Si 0.000 0.500 0.500

---

Entry 5:
For Ca2Pr2Zn3, the GGA-PBE geometry in Alexandria gives the theoretical powder diffractogram in this record (copper Kα).
Kinematic intensities with the Lorentz-polarization factor, no thermal factor.

Peak list (12 most intense, 5° ≤ 2θ ≤ 70°, by angle)
- 2θ 10.41, intensity 34
- 2θ 20.93, intensity 4
- 2θ 24.22, intensity 9
- 2θ 26.43, intensity 14
- 2θ 34.52, intensity 100
- 2θ 36.18, intensity 11
- 2θ 43.99, intensity 6
- 2θ 49.62, intensity 17
- 2θ 57.11, intensity 5
- 2θ 61.76, intensity 8
- 2θ 61.88, intensity 26
- 2θ 62.94, intensity 4

Cell and atoms:
abc: 9.012 9.012 9.012
angles: 33.49 33.49 33.49
Sites, in units of the cell vectors:
1 Ca 0.127 0.127 0.127
2 Ca 0.873 0.873 0.873
3 Pr 0.379 0.379 0.379
4 Pr 0.621 0.621 0.621
5 Zn 0.000 0.000 0.000
6 Zn 0.255 0.255 0.255
7 Zn 0.745 0.745 0.745

---

Entry 6:
For Pm3NdSe4, the GGA-PBE geometry in Alexandria gives the theoretical powder diffractogram in this record (copper Kα).
Kinematic intensities with the Lorentz-polarization factor, no thermal factor.

Peak list (12 most intense, 5° ≤ 2θ ≤ 70°, by angle)
- 2θ 26.51, intensity 24
- 2θ 27.83, intensity 29
- 2θ 29.44, intensity 100
- 2θ 31.31, intensity 78
- 2θ 40.69, intensity 30
- 2θ 43.38, intensity 39
- 2θ 43.52, intensity 78
- 2θ 46.19, intensity 10
- 2θ 51.99, intensity 15
- 2θ 53.42, intensity 19
- 2θ 54.59, intensity 16
- 2θ 63.13, intensity 13

Cell and atoms:
abc: 4.159 4.159 28.141
angles: 90.00 90.00 120.00
Sites, in units of the cell vectors:
1 Pm 0.000 0.000 0.000
2 Pm 0.000 0.000 0.500
3 Pm 0.333 0.667 0.123
4 Pm 0.333 0.667 0.377
5 Pm 0.667 0.333 0.623
6 Pm 0.667 0.333 0.877
7 Nd 0.333 0.667 0.750
8 Nd 0.667 0.333 0.250
9 Se 0.000 0.000 0.185
10 Se 0.000 0.000 0.315
11 Se 0.000 0.000 0.685
12 Se 0.000 0.000 0.815
13 Se 0.333 0.667 0.562
14 Se 0.333 0.667 0.938
15 Se 0.667 0.333 0.062
16 Se 0.667 0.333 0.438